Diffraction record for B3IF. The powder diffraction line list is calculated, not measured: it uses a cell relaxed with PBE and Cu Kα X-rays.
Kinematic intensities with the Lorentz-polarization factor, no thermal factor.

Cell and atoms:
a b c (Å): 4.313 4.313 4.313
angles (deg): 90.00 90.00 90.00
Fractional coordinates of all 5 atoms:
B (0.000, 0.000, 0.500)
B (0.000, 0.500, 0.000)
B (0.500, 0.000, 0.000)
I (0.500, 0.500, 0.500)
F (0.000, 0.000, 0.000)

Most intense lines, 2θ = 5–70°, in order of rising 2θ:
20.59°, intensity 573
29.29°, intensity 1000
36.07°, intensity 339
41.90°, intensity 276
47.12°, intensity 281
51.94°, intensity 390
60.74°, intensity 170
64.86°, intensity 141
68.84°, intensity 162


Diffraction record for Rb2BIF6. The powder diffraction line list is calculated, not measured: it uses a cell relaxed with PBE and Cu Kα X-rays.
Kinematic intensities with the Lorentz-polarization factor, no thermal factor.

Cell and atoms:
a b c (Å): 6.472 6.472 6.472
angles (deg): 118.02 118.02 93.47
Fractional coordinates of all 10 atoms:
Rb (0.250, 0.750, 0.500)
Rb (0.750, 0.250, 0.500)
B (0.000, 0.000, 0.000)
I (0.500, 0.500, 0.000)
F (0.160, 0.160, 0.320)
F (0.160, 0.840, 0.000)
F (0.262, 0.262, 0.000)
F (0.738, 0.738, 0.000)
F (0.840, 0.160, 0.000)
F (0.840, 0.840, 0.680)

Most intense lines, 2θ = 5–70°, in order of rising 2θ:
16.64°, intensity 212
26.75°, intensity 633
27.61°, intensity 1000
31.67°, intensity 315
38.19°, intensity 318
40.68°, intensity 181
41.92°, intensity 145
47.78°, intensity 271
49.36°, intensity 222
57.02°, intensity 183


Diffraction record for Rb2BI6F. The powder diffraction line list is calculated, not measured: it uses a cell relaxed with PBE and Cu Kα X-rays.
Kinematic intensities with the Lorentz-polarization factor, no thermal factor.

Cell and atoms:
a b c (Å): 8.955 8.955 8.955
angles (deg): 133.05 133.05 68.58
Fractional coordinates of all 10 atoms:
Rb (0.250, 0.750, 0.500)
Rb (0.750, 0.250, 0.500)
B (0.000, 0.000, 0.000)
I (0.214, 0.214, 0.000)
I (0.238, 0.238, 0.475)
I (0.238, 0.762, 0.000)
I (0.762, 0.238, 0.000)
I (0.762, 0.762, 0.525)
I (0.786, 0.786, 0.000)
F (0.500, 0.500, 0.000)

Most intense lines, 2θ = 5–70°, in order of rising 2θ:
24.06°, intensity 356
27.76°, intensity 1000
33.45°, intensity 71
35.59°, intensity 304
43.42°, intensity 277
44.68°, intensity 191
51.22°, intensity 102
51.87°, intensity 61
57.35°, intensity 116
59.25°, intensity 220


Diffraction record for InBF4. The powder diffraction line list is calculated, not measured: it uses a cell relaxed with PBE and Cu Kα X-rays.
Kinematic intensities with the Lorentz-polarization factor, no thermal factor.

Cell and atoms:
a b c (Å): 9.203 5.778 7.434
angles (deg): 90.00 90.00 90.00
Fractional coordinates of all 24 atoms:
In (0.186, 0.250, 0.168)
In (0.314, 0.750, 0.668)
In (0.686, 0.250, 0.332)
In (0.814, 0.750, 0.832)
B (0.062, 0.250, 0.688)
B (0.438, 0.750, 0.188)
B (0.562, 0.250, 0.812)
B (0.938, 0.750, 0.312)
F (0.076, 0.750, 0.394)
F (0.077, 0.049, 0.799)
F (0.077, 0.451, 0.799)
F (0.175, 0.250, 0.558)
F (0.325, 0.750, 0.058)
F (0.423, 0.549, 0.299)
F (0.423, 0.951, 0.299)
F (0.424, 0.250, 0.894)
F (0.576, 0.750, 0.106)
F (0.577, 0.049, 0.701)
F (0.577, 0.451, 0.701)
F (0.675, 0.250, 0.942)
F (0.825, 0.750, 0.442)
F (0.923, 0.549, 0.201)
F (0.923, 0.951, 0.201)
F (0.924, 0.250, 0.606)

Most intense lines, 2θ = 5–70°, in order of rising 2θ:
19.46°, intensity 461
21.74°, intensity 383
24.73°, intensity 756
25.85°, intensity 496
27.53°, intensity 840
30.19°, intensity 345
30.95°, intensity 374
38.75°, intensity 425
40.79°, intensity 1000
41.23°, intensity 395


Diffraction record for InBF4. The powder diffraction line list is calculated, not measured: it uses a cell relaxed with PBE and Cu Kα X-rays.
Kinematic intensities with the Lorentz-polarization factor, no thermal factor.

Cell and atoms:
a b c (Å): 7.797 5.150 5.496
angles (deg): 90.00 90.00 90.00
Fractional coordinates of all 12 atoms:
In (0.000, 0.214, 0.000)
In (0.500, 0.786, 0.500)
B (0.000, 0.695, 0.504)
B (0.500, 0.305, 0.004)
F (0.000, 0.420, 0.511)
F (0.000, 0.773, 0.255)
F (0.148, 0.793, 0.623)
F (0.352, 0.207, 0.123)
F (0.500, 0.227, 0.755)
F (0.500, 0.580, 0.011)
F (0.648, 0.207, 0.123)
F (0.852, 0.793, 0.623)

Most intense lines, 2θ = 5–70°, in order of rising 2θ:
19.76°, intensity 339
20.67°, intensity 329
22.81°, intensity 662
23.67°, intensity 1000
33.11°, intensity 492
34.84°, intensity 215
38.31°, intensity 211
38.87°, intensity 729
40.37°, intensity 217
51.55°, intensity 221